[1]
The following is a theoretical powder diffractogram of NaCo2O3. It was derived from the GGA+U geometry in the Materials Project, using CuKα.
Intensities are scaled so that the largest is 100.

```
data_NaCo2O3
_chemical_formula_sum 'Na2 Co4 O6'
_space_group_name_H-M_alt 'P 1'
_space_group_IT_number 1
_cell_length_a 5.188
_cell_length_b 5.899
_cell_length_c 5.901
_cell_angle_alpha 60.32
_cell_angle_beta 89.62
_cell_angle_gamma 89.59
loop_
_space_group_symop_operation_xyz
'x,y,z'
loop_
_atom_site_label
_atom_site_fract_x
_atom_site_fract_y
_atom_site_fract_z
_atom_site_occupancy
Na1 0.000 0.000 0.000 1
Na2 0.500 0.346 0.655 1
Co1 0.013 0.347 0.322 1
Co2 0.024 0.684 0.657 1
Co3 0.513 0.668 0.002 1
Co4 0.524 0.002 0.338 1
O1 0.383 0.346 0.261 1
O2 0.402 0.721 0.673 1
O3 0.471 0.950 0.041 1
O4 0.883 0.606 0.000 1
O5 0.902 0.019 0.374 1
O6 0.971 0.387 0.604 1
```

Main lines, in order of rising 2θ (2θ from 10° to 90°):
| 2theta | d (Å) | I/Imax | hkl |
| --- | --- | --- | --- |
| 17.36 | 5.110 | 53.0 | 0 1 1 |
| 24.40 | 3.648 | 29.2 | 1 0 -1 |
| 30.15 | 2.964 | 27.9 | 0 1 -1 |
| 30.30 | 2.950 | 70.1 | 0 2 1 |
| 34.58 | 2.594 | 69.1 | 2 0 0 |
| 34.87 | 2.573 | 100.0 | 1 1 -1 |
| 35.11 | 2.556 | 21.8 | -1 2 1 |
| 46.49 | 1.953 | 26.0 | 2 1 2 |
| 53.64 | 1.709 | 39.9 | 0 3 0 |
| 65.53 | 1.424 | 24.1 | 2 0 -3 |

[2]
The following is a theoretical powder diffractogram of NaCo2O3. It was derived from the GGA+U geometry in the Materials Project, using CuKα.
Intensities are scaled so that the largest is 100.

```
data_NaCo2O3
_chemical_formula_sum 'Na2 Co4 O6'
_space_group_name_H-M_alt 'P 1'
_space_group_IT_number 1
_cell_length_a 5.224
_cell_length_b 5.829
_cell_length_c 5.896
_cell_angle_alpha 60.50
_cell_angle_beta 89.79
_cell_angle_gamma 89.72
loop_
_space_group_symop_operation_xyz
'x,y,z'
loop_
_atom_site_label
_atom_site_fract_x
_atom_site_fract_y
_atom_site_fract_z
_atom_site_occupancy
Na1 0.000 0.000 0.000 1
Na2 0.500 0.349 0.999 1
Co1 0.022 0.679 0.661 1
Co2 0.023 0.340 0.339 1
Co3 0.516 0.670 0.334 1
Co4 0.517 0.004 0.665 1
O1 0.379 0.718 0.617 1
O2 0.380 0.335 0.383 1
O3 0.461 0.963 0.000 1
O4 0.894 0.612 0.403 1
O5 0.895 0.015 0.596 1
O6 0.966 0.414 0.999 1
```

Main lines, in order of rising 2θ (2θ from 10° to 90°):
| 2theta | d (Å) | I/Imax | hkl |
| --- | --- | --- | --- |
| 17.28 | 5.132 | 51.4 | 0 0 1 |
| 24.45 | 3.641 | 43.7 | 1 -1 0 |
| 30.29 | 2.950 | 92.6 | 0 1 2 |
| 30.68 | 2.914 | 44.9 | 0 2 1 |
| 34.33 | 2.612 | 97.5 | 2 0 0 |
| 34.90 | 2.571 | 100.0 | 1 -1 1 |
| 35.01 | 2.563 | 35.6 | -1 1 2 |
| 35.19 | 2.550 | 38.9 | 1 2 1 |
| 35.34 | 2.540 | 35.6 | -1 2 1 |
| 65.69 | 1.421 | 28.5 | 2 3 3 |

[3]
The following is a theoretical powder diffractogram of Na2CoO3. It was derived from the GGA+U geometry in the Materials Project, using CuKα.
Intensities are scaled so that the largest is 100.

```
data_Na2CoO3
_chemical_formula_sum 'Na4 Co2 O6'
_space_group_name_H-M_alt 'P -1'
_space_group_IT_number 2
_cell_length_a 5.523
_cell_length_b 5.925
_cell_length_c 6.104
_cell_angle_alpha 107.66
_cell_angle_beta 102.02
_cell_angle_gamma 93.57
loop_
_space_group_symop_operation_xyz
'x,y,z'
'-x,-y,-z'
loop_
_atom_site_label
_atom_site_fract_x
_atom_site_fract_y
_atom_site_fract_z
_atom_site_occupancy
Na1 0.017 0.270 0.150 1
Na2 0.200 0.784 0.462 1
Co1 0.337 0.349 0.826 1
O1 0.171 0.080 0.805 1
O2 0.195 0.434 0.589 1
O3 0.317 0.593 0.114 1
```

Main lines, in order of rising 2θ (2θ from 10° to 90°):
| 2theta | d (Å) | I/Imax | hkl |
| --- | --- | --- | --- |
| 15.84 | 5.595 | 84.2 | 0 1 0 |
| 18.35 | 4.835 | 100.0 | 0 1 -1 |
| 19.94 | 4.452 | 90.9 | 1 0 -1 |
| 21.37 | 4.157 | 47.6 | 1 -1 0 |
| 25.90 | 3.440 | 56.5 | 1 -1 1 |
| 32.10 | 2.788 | 33.4 | 1 1 -2 |
| 33.47 | 2.677 | 29.8 | 2 0 0 |
| 39.55 | 2.279 | 59.4 | -1 1 2 |
| 46.49 | 1.953 | 29.0 | 2 2 -1 |
| 48.34 | 1.883 | 26.1 | 0 0 3 |